[1]
Diffraction record for LiCa8. The PXRD pattern is theoretical, not measured: it uses DFT lattice parameters and positions (PBE) and Cu Kα, 1.54184 Å.
No peak broadening, texture or thermal motion is included.

a b c (Å): 11.6159 11.6159 5.3328
angles (deg): 90.00 90.00 90.00
Space group I4/mmm (No. 139)
Unique sites:
Li (0.0000, 0.0000, 0.0000) (multiplicity 2)
Ca (0.0000, 0.3311, 0.0000) (multiplicity 8)
Ca (0.1623, 0.1623, 0.5000) (multiplicity 8)

Largest 10 diffraction maxima, in order of falling intensity, 2θ = 10–90°:
2θ/deg	I/Imax
28.49	100
32.71	34
55.82	25
47.60	21
33.61	16
57.01	12
46.93	11
58.96	11
76.85	9
87.71	6

[2]
Diffraction record for DyIn2Ni9. The PXRD pattern is theoretical, not measured: it uses DFT lattice parameters and positions (PBE) and Cu Kα, 1.54184 Å.
No peak broadening, texture or thermal motion is included.

a b c (Å): 4.9129 4.9129 23.6904
angles (deg): 90.00 90.00 120.00
Space group R-3m (No. 166, hexagonal axes)
Unique sites:
Dy (0.0000, 0.0000, 0.0000) (multiplicity 3)
In (0.0000, 0.0000, 0.1402) (multiplicity 6)
Ni (0.0000, 0.0000, 0.3338) (multiplicity 6)
Ni (0.0000, 0.0000, 0.5000) (multiplicity 3)
Ni (0.0029, 0.5014, 0.9163) (multiplicity 18)

Largest 10 diffraction maxima, in order of falling intensity, 2θ = 10–90°:
2θ/deg	I/Imax
43.38	100
36.58	46
42.67	37
33.84	37
36.99	34
70.56	22
77.76	21
45.97	16
46.81	15
43.21	13

[3]
Diffraction record for LaPm4Pr3Se8. The PXRD pattern is theoretical, not measured: it uses DFT lattice parameters and positions (PBE) and Cu Kα, 1.54184 Å.
No peak broadening, texture or thermal motion is included.

a b c (Å): 8.4717 8.4717 20.7917
angles (deg): 90.00 90.00 120.00
Space group R-3m (No. 166, hexagonal axes)
Unique sites:
La (0.0000, 0.0000, 0.0000) (multiplicity 3)
Pm (0.0000, 0.0000, 0.5000) (multiplicity 3)
Pm (0.0000, 0.5000, 0.5000) (multiplicity 9)
Pr (0.0000, 0.5000, 0.0000) (multiplicity 9)
Se (0.0000, 0.0000, 0.2479) (multiplicity 6)
Se (0.0004, 0.5002, 0.2478) (multiplicity 18)

Largest 10 diffraction maxima, in order of falling intensity, 2θ = 10–90°:
2θ/deg	I/Imax
29.81	100
42.66	75
70.22	34
52.91	26
78.14	19
25.74	16
61.92	12
50.50	8
78.01	6
83.89	2

[4]
Diffraction record for SrTh2TiN4. The PXRD pattern is theoretical, not measured: it uses DFT lattice parameters and positions (PBE) and Cu Kα, 1.54184 Å.
No peak broadening, texture or thermal motion is included.

a b c (Å): 3.5774 12.3559 12.5066
angles (deg): 90.00 90.00 90.00
Space group Cmcm (No. 63)
Unique sites:
Sr (0.0000, 0.0939, 0.2500) (multiplicity 4)
Th (0.0000, 0.3682, 0.0442) (multiplicity 8)
Ti (0.0000, 0.1759, 0.7500) (multiplicity 4)
N (0.0000, 0.0000, 0.0000) (multiplicity 4)
N (0.0000, 0.2623, 0.6232) (multiplicity 8)
N (0.0000, 0.4070, 0.2500) (multiplicity 4)

Largest 10 diffraction maxima, in order of falling intensity, 2θ = 10–90°:
2θ/deg	I/Imax
29.66	100
25.78	84
36.23	80
14.16	74
28.90	59
44.82	39
38.84	39
33.17	34
58.05	30
49.68	30